1.
Starting from the GGA-PBE geometry in the Materials Project, the X-ray diffraction stick pattern of CeBi was simulated for Cu Kα.
Kinematic intensities with the Lorentz-polarization factor, no thermal factor.

Most intense lines, 2θ = 10–90°, in order of rising 2θ:
d_spacing  Position (°2θ)  I_rel  (hkl)
3.765  23.63  6.7  1 1 1
3.261  27.35  100.0  2 0 0
2.306  39.06  78.7  2 2 0
1.883  48.34  28.8  2 2 2
1.630  56.44  13.7  4 0 0
1.458  63.83  38.0  4 2 0
1.331  70.77  28.2  4 2 2
1.153  83.93  9.2  4 4 0

Structural model:
a = 6.522 Å, b = 6.522 Å, c = 6.522 Å
α = 90.00°, β = 90.00°, γ = 90.00°
Space group Fm-3m (No. 225)
One atom of each set of equivalent atoms:
1 Ce 0.000 0.000 0.000 (multiplicity 4)
2 Bi 0.000 0.000 0.500 (multiplicity 4)


2.
Starting from the GGA-PBE geometry in the Materials Project, the X-ray diffraction stick pattern of Tb8O13 was simulated for Cu Kα.
Kinematic intensities with the Lorentz-polarization factor, no thermal factor.

Most intense lines, 2θ = 10–90°, in order of rising 2θ:
d_spacing  Position (°2θ)  I_rel  (hkl)
3.146  28.37  100.0  1 1 1
3.125  28.56  99.2  1 -3 1
2.755  32.50  19.3  2 2 -2
2.746  32.61  26.2  -2 2 2
2.650  33.83  21.6  2 -2 2
1.916  47.45  14.9  0 0 4
1.910  47.62  24.2  0 4 -4
1.655  55.51  28.5  -3 1 5

Structural model:
a = 9.370 Å, b = 9.396 Å, c = 9.441 Å
α = 108.66°, β = 111.41°, γ = 108.08°
Space group P1 (No. 1)
One atom of each set of equivalent atoms:
1 Tb 0.000 0.000 0.000 (multiplicity 1)
2 Tb 0.001 0.236 0.766 (multiplicity 1)
3 Tb 0.205 0.955 0.737 (multiplicity 1)
4 Tb 0.208 0.204 0.503 (multiplicity 1)
5 Tb 0.231 0.504 0.228 (multiplicity 1)
6 Tb 0.288 0.775 0.028 (multiplicity 1)
7 Tb 0.460 0.983 0.514 (multiplicity 1)
8 Tb 0.474 0.739 0.746 (multiplicity 1)
9 Tb 0.475 0.509 0.994 (multiplicity 1)
10 Tb 0.486 0.228 0.275 (multiplicity 1)
11 Tb 0.668 0.462 0.733 (multiplicity 1)
12 Tb 0.716 0.706 0.518 (multiplicity 1)
13 Tb 0.743 0.004 0.262 (multiplicity 1)
14 Tb 0.750 0.263 0.998 (multiplicity 1)
15 Tb 0.949 0.465 0.474 (multiplicity 1)
16 Tb 0.966 0.731 0.263 (multiplicity 1)
17 O 0.007 0.494 0.272 (multiplicity 1)
18 O 0.189 0.744 0.209 (multiplicity 1)
19 O 0.203 0.692 0.726 (multiplicity 1)
20 O 0.214 0.968 0.504 (multiplicity 1)
21 O 0.218 0.503 0.981 (multiplicity 1)
22 O 0.233 0.272 0.280 (multiplicity 1)
23 O 0.239 0.993 0.010 (multiplicity 1)
24 O 0.263 0.230 0.792 (multiplicity 1)
25 O 0.426 0.476 0.714 (multiplicity 1)
26 O 0.450 0.220 0.494 (multiplicity 1)
27 O 0.466 0.729 0.493 (multiplicity 1)
28 O 0.476 0.458 0.227 (multiplicity 1)
29 O 0.499 0.005 0.793 (multiplicity 1)
30 O 0.517 0.990 0.297 (multiplicity 1)
31 O 0.518 0.772 0.008 (multiplicity 1)
32 O 0.704 0.218 0.208 (multiplicity 1)
33 O 0.717 0.491 0.001 (multiplicity 1)
34 O 0.724 0.760 0.295 (multiplicity 1)
35 O 0.737 0.472 0.528 (multiplicity 1)
36 O 0.743 0.239 0.734 (multiplicity 1)
37 O 0.743 0.747 0.796 (multiplicity 1)
38 O 0.950 0.975 0.725 (multiplicity 1)
39 O 0.955 0.719 0.492 (multiplicity 1)
40 O 0.959 0.970 0.217 (multiplicity 1)
41 O 0.978 0.228 0.006 (multiplicity 1)
42 O 0.978 0.244 0.520 (multiplicity 1)


3.
Starting from the GGA-PBE geometry in the Materials Project, the X-ray diffraction stick pattern of KLaInSbO6 was simulated for Cu Kα.
Kinematic intensities with the Lorentz-polarization factor, no thermal factor.

Most intense lines, 2θ = 10–90°, in order of rising 2θ:
d_spacing  Position (°2θ)  I_rel  (hkl)
4.747  18.69  13.9  1 1 1
2.907  30.76  100.0  2 2 0
2.479  36.23  8.2  3 1 1
2.056  44.05  32.4  4 0 0
1.678  54.68  39.0  4 2 2
1.454  64.06  19.3  4 4 0
1.300  72.74  16.8  6 2 0
1.099  89.11  20.6  6 4 2

Structural model:
a = 8.223 Å, b = 8.223 Å, c = 8.223 Å
α = 90.00°, β = 90.00°, γ = 90.00°
Space group F-43m (No. 216)
One atom of each set of equivalent atoms:
1 K 0.000 0.000 0.000 (multiplicity 4)
2 La 0.000 0.000 0.500 (multiplicity 4)
3 In 0.250 0.250 0.750 (multiplicity 4)
4 Sb 0.250 0.250 0.250 (multiplicity 4)
5 O 0.009 0.250 0.250 (multiplicity 24)


4.
Starting from the GGA-PBE geometry in the Materials Project, the X-ray diffraction stick pattern of Er6IrI10 was simulated for Cu Kα.
Kinematic intensities with the Lorentz-polarization factor, no thermal factor.

Most intense lines, 2θ = 10–90°, in order of rising 2θ:
d_spacing  Position (°2θ)  I_rel  (hkl)
8.733  10.13  59.9  0 1 0
3.139  28.43  99.4  2 0 1
3.060  29.18  100.0  1 1 -3
3.045  29.33  95.8  1 -3 0
2.206  40.90  32.0  3 1 -2
2.197  41.08  30.9  3 -3 1
2.175  41.51  71.5  1 3 1
2.158  41.86  65.8  0 4 -3

Structural model:
a = 7.683 Å, b = 9.629 Å, c = 9.662 Å
α = 107.60°, β = 96.94°, γ = 104.74°
Space group P-1 (No. 2)
One atom of each set of equivalent atoms:
1 Er 0.026 0.216 0.415 (multiplicity 2)
2 Er 0.112 0.539 0.259 (multiplicity 2)
3 Er 0.349 0.627 0.666 (multiplicity 2)
4 Ir 0.000 0.500 0.500 (multiplicity 1)
5 I 0.087 0.873 0.320 (multiplicity 2)
6 I 0.215 0.238 0.150 (multiplicity 2)
7 I 0.262 0.589 0.965 (multiplicity 2)
8 I 0.357 0.956 0.774 (multiplicity 2)
9 I 0.453 0.316 0.592 (multiplicity 2)


5.
Starting from the GGA-PBE geometry in the Materials Project, the X-ray diffraction stick pattern of Lu3P6Pd20 was simulated for Cu Kα.
Kinematic intensities with the Lorentz-polarization factor, no thermal factor.

Most intense lines, 2θ = 10–90°, in order of rising 2θ:
d_spacing  Position (°2θ)  I_rel  (hkl)
2.736  32.73  23.1  4 2 0
2.498  35.96  39.3  4 2 2
2.355  38.22  100.0  3 3 3
2.163  41.76  34.7  4 4 0
2.068  43.77  20.5  5 3 1
1.442  64.64  30.3  6 6 0
1.413  66.14  15.2  5 5 5
1.249  76.24  22.0  8 4 4

Structural model:
a = 12.236 Å, b = 12.236 Å, c = 12.236 Å
α = 90.00°, β = 90.00°, γ = 90.00°
Space group Fm-3m (No. 225)
One atom of each set of equivalent atoms:
1 Lu 0.000 0.000 0.000 (multiplicity 4)
2 Lu 0.250 0.250 0.250 (multiplicity 8)
3 P 0.000 0.000 0.265 (multiplicity 24)
4 Pd 0.000 0.172 0.172 (multiplicity 48)
5 Pd 0.117 0.117 0.383 (multiplicity 32)


6.
Starting from the GGA-PBE geometry in the Materials Project, the X-ray diffraction stick pattern of PH3PbCO3 was simulated for Cu Kα.
Kinematic intensities with the Lorentz-polarization factor, no thermal factor.

Most intense lines, 2θ = 10–90°, in order of rising 2θ:
d_spacing  Position (°2θ)  I_rel  (hkl)
4.867  18.23  52.0  2 1 1
4.051  21.94  38.5  4 -3 1
3.906  22.77  58.7  1 4 0
3.111  28.69  55.1  3 -2 2
2.865  31.22  100.0  5 2 0
2.370  37.97  23.4  1 5 2
1.811  50.38  26.1  7 -5 3
1.654  55.56  22.9  3 9 0

Structural model:
a = 20.6670 Å, b = 20.6670 Å, c = 7.0079 Å
α = 90.00°, β = 90.00°, γ = 120.00°
Space group R-3 (No. 148, hexagonal axes)
One atom of each set of equivalent atoms:
1 P 0.0564 0.4543 0.3305 (multiplicity 18)
2 H 0.0208 0.1615 0.8393 (multiplicity 18)
3 H 0.0773 0.1671 0.6393 (multiplicity 18)
4 H 0.0989 0.8791 0.8492 (multiplicity 18)
5 Pb 0.0377 0.4387 0.8556 (multiplicity 18)
6 C 0.0713 0.1986 0.7574 (multiplicity 18)
7 O 0.0085 0.7575 0.4575 (multiplicity 18)
8 O 0.0094 0.4072 0.5009 (multiplicity 18)
9 O 0.0124 0.4762 0.1910 (multiplicity 18)


7.
Starting from the GGA-PBE geometry in the Materials Project, the X-ray diffraction stick pattern of Pr3IrO7 was simulated for Cu Kα.
Kinematic intensities with the Lorentz-polarization factor, no thermal factor.

Most intense lines, 2θ = 10–90°, in order of rising 2θ:
d_spacing  Position (°2θ)  I_rel  (hkl)
3.146  28.37  100.0  2 0 2
3.123  28.58  85.1  2 2 0
2.770  32.32  22.3  4 0 0
2.688  33.34  42.7  0 2 2
1.929  47.12  45.6  4 2 2
1.911  47.59  17.3  0 0 4
1.630  56.45  28.4  2 2 4
1.620  56.82  13.7  2 4 2

Structural model:
a = 11.079 Å, b = 7.562 Å, c = 7.643 Å
α = 90.00°, β = 90.00°, γ = 90.00°
Space group Cmcm (No. 63)
One atom of each set of equivalent atoms:
1 Pr 0.000 0.000 0.000 (multiplicity 4)
2 Pr 0.222 0.305 0.250 (multiplicity 8)
3 Ir 0.000 0.500 0.000 (multiplicity 4)
4 O 0.000 0.412 0.250 (multiplicity 4)
5 O 0.125 0.315 0.539 (multiplicity 16)
6 O 0.132 0.025 0.250 (multiplicity 8)


8.
Starting from the GGA-PBE geometry in the Materials Project, the X-ray diffraction stick pattern of MgNb4N4O4 was simulated for Cu Kα.
Kinematic intensities with the Lorentz-polarization factor, no thermal factor.

Most intense lines, 2θ = 10–90°, in order of rising 2θ:
d_spacing  Position (°2θ)  I_rel  (hkl)
6.225  14.23  58.1  0 1 0
3.741  23.78  40.5  0 1 -1
3.585  24.84  100.0  1 0 1
3.292  27.09  39.7  0 1 2
3.112  28.68  53.1  0 2 0
3.052  29.26  53.8  1 0 -1
2.762  32.41  60.3  0 2 2
2.076  43.61  52.5  0 3 0

Structural model:
a = 3.946 Å, b = 6.704 Å, c = 6.736 Å
α = 68.48°, β = 80.42°, γ = 89.70°
Space group P1 (No. 1)
One atom of each set of equivalent atoms:
1 Mg 0.000 0.000 0.000 (multiplicity 1)
2 Nb 0.101 0.696 0.461 (multiplicity 1)
3 Nb 0.213 0.308 0.299 (multiplicity 1)
4 Nb 0.508 0.724 0.864 (multiplicity 1)
5 Nb 0.564 0.362 0.699 (multiplicity 1)
6 N 0.086 0.341 0.631 (multiplicity 1)
7 N 0.177 0.650 0.190 (multiplicity 1)
8 N 0.486 0.402 0.989 (multiplicity 1)
9 N 0.569 0.717 0.559 (multiplicity 1)
10 O 0.015 0.796 0.790 (multiplicity 1)
11 O 0.104 0.036 0.275 (multiplicity 1)
12 O 0.527 0.023 0.901 (multiplicity 1)
13 O 0.653 0.281 0.399 (multiplicity 1)


9.
Starting from the GGA-PBE geometry in the Materials Project, the X-ray diffraction stick pattern of BaReH9 was simulated for Cu Kα.
Kinematic intensities with the Lorentz-polarization factor, no thermal factor.

Most intense lines, 2θ = 10–90°, in order of rising 2θ:
d_spacing  Position (°2θ)  I_rel  (hkl)
3.638  24.47  100.0  0 2 1
3.013  29.65  61.7  1 2 0
2.989  29.89  26.4  1 0 -1
2.970  30.09  30.4  1 0 1
2.616  34.28  22.3  0 4 0
2.531  35.47  19.2  0 0 2
1.963  46.25  18.5  1 4 1
1.933  47.02  18.7  1 2 2

Structural model:
a = 3.686 Å, b = 10.465 Å, c = 5.062 Å
α = 90.00°, β = 90.40°, γ = 90.00°
Space group P2_1/m (No. 11)
One atom of each set of equivalent atoms:
1 Ba 0.000 0.000 0.000 (multiplicity 2)
2 Re 0.450 0.250 0.533 (multiplicity 2)
3 H 0.051 0.250 0.359 (multiplicity 2)
4 H 0.054 0.032 0.503 (multiplicity 4)
5 H 0.057 0.250 0.709 (multiplicity 2)
6 H 0.494 0.750 0.136 (multiplicity 2)
7 H 0.496 0.097 0.650 (multiplicity 4)
8 H 0.498 0.647 0.736 (multiplicity 4)


10.
Starting from the GGA-PBE geometry in the Materials Project, the X-ray diffraction stick pattern of GaS was simulated for Cu Kα.
Kinematic intensities with the Lorentz-polarization factor, no thermal factor.

Most intense lines, 2θ = 10–90°, in order of rising 2θ:
d_spacing  Position (°2θ)  I_rel  (hkl)
8.700  10.17  100.0  0 0 3
4.350  20.42  29.6  0 0 6
3.127  28.54  77.8  1 0 1
2.837  31.54  43.4  1 0 4
2.406  37.37  13.8  1 0 7
2.010  45.12  45.1  1 0 10
1.895  48.01  25.2  0 1 11
1.818  50.17  34.2  1 1 0

Structural model:
a = 3.6370 Å, b = 3.6370 Å, c = 26.0989 Å
α = 90.00°, β = 90.00°, γ = 120.00°
Space group R-3m (No. 166, hexagonal axes)
One atom of each set of equivalent atoms:
1 Ga 0.0000 0.0000 0.0472 (multiplicity 6)
2 S 0.0000 0.0000 0.2448 (multiplicity 6)